No. 1
Starting from DFT lattice parameters and positions (GGA-PBE), the X-ray powder pattern of Ba3CdSn2S8 was simulated for Cu Ka.

Largest 12 diffraction maxima, in order of rising 2θ, 10 to 90 degrees two-theta:
d_spacing, two_theta, intensity
3.997, 22.24, 91
3.757, 23.68, 32
3.734, 23.83, 37
3.191, 27.96, 100
3.054, 29.24, 24
2.648, 33.85, 75
2.640, 33.96, 25
2.424, 37.09, 17
2.203, 40.97, 27
1.905, 47.73, 23
1.900, 47.89, 20
1.671, 54.95, 19

Cell and atoms:
Cell: 12.961 12.961 12.961 Å, 109.64 109.64 109.13°
Fractional coordinates of all 56 atoms:
Ba 0.100 0.625 0.975
Ba 0.142 0.142 0.000
Ba 0.359 0.125 0.734
Ba 0.375 0.350 0.475
Ba 0.375 0.641 0.766
Ba 0.391 0.625 0.266
Ba 0.608 0.108 0.500
Ba 0.650 0.125 0.025
Ba 0.858 0.858 0.000
Ba 0.875 0.609 0.234
Ba 0.875 0.900 0.525
Ba 0.892 0.392 0.500
Cd 0.004 0.125 0.379
Cd 0.375 0.996 0.121
Cd 0.746 0.625 0.621
Cd 0.875 0.254 0.879
Sn 0.090 0.382 0.262
Sn 0.120 0.827 0.738
Sn 0.132 0.340 0.762
Sn 0.173 0.910 0.292
Sn 0.577 0.370 0.238
Sn 0.618 0.880 0.708
Sn 0.630 0.868 0.208
Sn 0.660 0.423 0.792
S 0.077 0.178 0.232
S 0.097 0.389 0.077
S 0.102 0.844 0.556
S 0.122 0.647 0.744
S 0.128 0.152 0.756
S 0.139 0.347 0.577
S 0.154 0.923 0.101
S 0.156 0.712 0.258
S 0.288 0.546 0.444
S 0.296 0.538 0.944
S 0.312 0.021 0.923
S 0.353 0.098 0.476
S 0.397 0.372 0.244
S 0.438 0.861 0.208
S 0.454 0.898 0.742
S 0.462 0.406 0.758
S 0.594 0.352 0.056
S 0.596 0.197 0.268
S 0.611 0.688 0.708
S 0.622 0.878 0.524
S 0.628 0.872 0.024
S 0.648 0.704 0.242
S 0.653 0.229 0.792
S 0.673 0.404 0.601
S 0.771 0.562 0.423
S 0.803 0.072 0.399
S 0.822 0.053 0.899
S 0.848 0.603 0.976
S 0.902 0.378 0.256
S 0.928 0.327 0.732
S 0.947 0.846 0.768
S 0.979 0.903 0.292

=====

No. 2
Starting from DFT lattice parameters and positions (GGA-PBE), the X-ray powder pattern of Ho2Re3Si5 was simulated for Cu Ka.

Largest 12 diffraction maxima, in order of rising 2θ, 10 to 90 degrees two-theta:
d_spacing, two_theta, intensity
3.474, 25.64, 98
3.048, 29.30, 35
2.937, 30.43, 87
2.592, 34.60, 43
2.457, 36.57, 83
2.398, 37.50, 100
2.244, 40.19, 74
2.040, 44.40, 43
1.943, 46.76, 45
1.885, 48.28, 36
1.510, 61.42, 51
1.122, 86.84, 31

Cell and atoms:
Cell: 10.985 10.985 5.500 Å, 90.00 90.00 90.00°
Fractional coordinates of all 40 atoms:
Ho 0.078 0.237 0.000
Ho 0.237 0.922 0.000
Ho 0.263 0.422 0.500
Ho 0.422 0.737 0.500
Ho 0.578 0.263 0.500
Ho 0.737 0.578 0.500
Ho 0.763 0.078 0.000
Ho 0.922 0.763 0.000
Re 0.000 0.500 0.250
Re 0.000 0.500 0.750
Re 0.123 0.853 0.500
Re 0.147 0.123 0.500
Re 0.353 0.623 0.000
Re 0.377 0.353 0.000
Re 0.500 0.000 0.250
Re 0.500 0.000 0.750
Re 0.623 0.647 0.000
Re 0.647 0.377 0.000
Re 0.853 0.877 0.500
Re 0.877 0.147 0.500
Si 0.000 0.000 0.240
Si 0.000 0.000 0.760
Si 0.029 0.314 0.500
Si 0.172 0.672 0.250
Si 0.172 0.672 0.750
Si 0.186 0.471 0.000
Si 0.314 0.971 0.500
Si 0.328 0.172 0.250
Si 0.328 0.172 0.750
Si 0.471 0.814 0.000
Si 0.500 0.500 0.260
Si 0.500 0.500 0.740
Si 0.529 0.186 0.000
Si 0.672 0.828 0.250
Si 0.672 0.828 0.750
Si 0.686 0.029 0.500
Si 0.814 0.529 0.000
Si 0.828 0.328 0.250
Si 0.828 0.328 0.750
Si 0.971 0.686 0.500

=====

No. 3
Starting from DFT lattice parameters and positions (GGA-PBE), the X-ray powder pattern of Li3Tl2PtO6 was simulated for Cu Ka.

Largest 12 diffraction maxima, in order of rising 2θ, 10 to 90 degrees two-theta:
d_spacing, two_theta, intensity
5.002, 17.73, 100
2.946, 30.34, 52
2.761, 32.43, 24
2.752, 32.53, 35
2.695, 33.24, 17
2.501, 35.91, 13
2.367, 38.01, 42
2.210, 40.83, 18
2.091, 43.27, 21
1.764, 51.84, 13
1.665, 55.15, 18
1.600, 57.60, 16

Cell and atoms:
Cell: 5.991 5.991 5.267 Å, 98.52 98.52 123.45°
Fractional coordinates of all 12 atoms:
Li 0.000 0.000 0.000
Li 0.381 0.619 0.000
Li 0.619 0.381 0.000
Tl 0.173 0.827 0.500
Tl 0.827 0.173 0.500
Pt 0.500 0.500 0.500
O 0.153 0.425 0.257
O 0.270 0.270 0.730
O 0.425 0.153 0.257
O 0.575 0.847 0.743
O 0.730 0.730 0.270
O 0.847 0.575 0.743

=====

No. 4
Starting from DFT lattice parameters and positions (GGA-PBE), the X-ray powder pattern of PuGe2Au2 was simulated for Cu Ka.

Largest 12 diffraction maxima, in order of rising 2θ, 10 to 90 degrees two-theta:
d_spacing, two_theta, intensity
3.119, 28.62, 13
2.996, 29.82, 17
2.784, 32.15, 55
2.699, 33.20, 100
2.205, 40.92, 57
2.038, 44.45, 14
1.936, 46.94, 28
1.729, 52.97, 27
1.559, 59.26, 20
1.455, 64.00, 23
1.350, 69.64, 25
1.149, 84.28, 14

Cell and atoms:
Cell: 4.411 4.411 10.770 Å, 90.00 90.00 90.00°
Fractional coordinates of all 10 atoms:
Pu 0.250 0.250 0.244
Pu 0.750 0.750 0.756
Ge 0.250 0.250 0.864
Ge 0.250 0.750 0.500
Ge 0.750 0.250 0.500
Ge 0.750 0.750 0.136
Au 0.250 0.250 0.633
Au 0.250 0.750 0.000
Au 0.750 0.250 0.000
Au 0.750 0.750 0.367

=====

No. 5
Starting from DFT lattice parameters and positions (GGA-PBE), the X-ray powder pattern of Mg3C was simulated for Cu Ka.

Largest 12 diffraction maxima, in order of rising 2θ, 10 to 90 degrees two-theta:
d_spacing, two_theta, intensity
5.132, 17.28, 20
2.923, 30.59, 33
2.566, 34.97, 46
2.477, 36.27, 45
2.276, 39.60, 45
2.255, 39.99, 100
2.046, 44.28, 30
1.986, 45.69, 17
1.703, 53.84, 21
1.662, 55.28, 19
1.289, 73.45, 22
1.152, 84.03, 16

Cell and atoms:
Cell: 6.402 6.402 3.324 Å, 90.00 90.00 106.55°
Fractional coordinates of all 8 atoms:
Mg 0.124 0.876 0.750
Mg 0.188 0.457 0.750
Mg 0.457 0.188 0.250
Mg 0.543 0.812 0.750
Mg 0.812 0.543 0.250
Mg 0.876 0.124 0.250
C 0.277 0.723 0.250
C 0.723 0.277 0.750

=====

No. 6
Starting from DFT lattice parameters and positions (GGA-PBE), the X-ray powder pattern of Ba2YOs was simulated for Cu Ka.

Largest 12 diffraction maxima, in order of rising 2θ, 10 to 90 degrees two-theta:
d_spacing, two_theta, intensity
4.271, 20.80, 74
3.591, 24.79, 23
3.506, 25.40, 40
3.128, 28.54, 61
2.944, 30.37, 29
2.831, 31.61, 100
2.604, 34.45, 51
2.410, 37.31, 20
2.288, 39.39, 29
2.277, 39.59, 74
2.193, 41.16, 30
1.796, 50.85, 25

Cell and atoms:
Cell: 4.386 3.780 9.634 Å, 90.00 103.08 90.00°
Fractional coordinates of all 4 atoms:
Ba 0.000 0.000 0.000
Ba 0.298 0.500 0.601
Y 0.641 0.500 0.283
Os 0.161 0.000 0.324

=====

No. 7
Starting from DFT lattice parameters and positions (GGA-PBE), the X-ray powder pattern of RbAgGeSe3 was simulated for Cu Ka.

Largest 12 diffraction maxima, in order of rising 2θ, 10 to 90 degrees two-theta:
d_spacing, two_theta, intensity
8.203, 10.79, 44
5.741, 15.43, 46
4.101, 21.67, 33
3.884, 22.90, 57
3.250, 27.44, 88
3.206, 27.83, 100
3.144, 28.39, 47
2.994, 29.85, 30
2.870, 31.17, 33
2.232, 40.41, 30
2.137, 42.30, 28
1.819, 50.16, 41

Cell and atoms:
Cell: 7.392 7.392 9.003 Å, 110.57 110.57 63.02°
Fractional coordinates of all 12 atoms:
Rb 0.200 0.200 0.218
Rb 0.800 0.800 0.782
Ag 0.210 0.790 0.500
Ag 0.790 0.210 0.500
Ge 0.446 0.446 0.740
Ge 0.554 0.554 0.260
Se 0.191 0.697 0.198
Se 0.250 0.250 0.642
Se 0.303 0.809 0.802
Se 0.697 0.191 0.198
Se 0.750 0.750 0.358
Se 0.809 0.303 0.802

=====

No. 8
Starting from DFT lattice parameters and positions (GGA-PBE), the X-ray powder pattern of RbPmHg2O4 was simulated for Cu Ka.

Largest 12 diffraction maxima, in order of rising 2θ, 10 to 90 degrees two-theta:
d_spacing, two_theta, intensity
5.114, 17.34, 24
4.563, 19.46, 11
3.378, 26.38, 40
3.093, 28.87, 29
2.970, 30.09, 100
2.403, 37.42, 13
2.281, 39.50, 34
1.958, 46.37, 18
1.861, 48.93, 27
1.761, 51.92, 23
1.482, 62.67, 9
1.418, 65.89, 10

Cell and atoms:
Cell: 6.024 6.024 6.024 Å, 118.21 111.78 98.99°
Fractional coordinates of all 8 atoms:
Rb 0.000 0.000 0.000
Pm 0.500 0.500 0.000
Hg 0.300 0.800 0.500
Hg 0.700 0.200 0.500
O 0.155 0.097 0.613
O 0.484 0.542 0.387
O 0.516 0.903 0.057
O 0.845 0.458 0.943

=====

No. 9
Starting from DFT lattice parameters and positions (GGA-PBE), the X-ray powder pattern of Ac5CdPb6 was simulated for Cu Ka.

Largest 12 diffraction maxima, in order of rising 2θ, 10 to 90 degrees two-theta:
d_spacing, two_theta, intensity
2.978, 30.00, 100
2.733, 32.77, 18
2.641, 33.95, 19
2.400, 37.48, 14
1.899, 47.90, 13
1.803, 50.62, 11
1.776, 51.46, 12
1.621, 56.79, 13
1.582, 58.33, 16
1.489, 62.36, 11
1.474, 63.05, 12
1.157, 83.57, 9

Cell and atoms:
Cell: 9.860 9.860 9.860 Å, 148.93 121.75 67.50°
Fractional coordinates of all 12 atoms:
Ac 0.000 0.000 0.000
Ac 0.172 0.672 0.500
Ac 0.358 0.358 0.000
Ac 0.642 0.642 0.000
Ac 0.828 0.328 0.500
Cd 0.500 0.000 0.500
Pb 0.077 0.830 0.248
Pb 0.239 0.500 0.739
Pb 0.418 0.170 0.248
Pb 0.582 0.830 0.752
Pb 0.761 0.500 0.261
Pb 0.923 0.170 0.752

=====

No. 10
Starting from DFT lattice parameters and positions (GGA-PBE), the X-ray powder pattern of VPd6Pt was simulated for Cu Ka.

Largest 12 diffraction maxima, in order of rising 2θ, 10 to 90 degrees two-theta:
d_spacing, two_theta, intensity
5.575, 15.90, 9
3.185, 28.01, 8
2.493, 36.02, 4
2.264, 39.82, 100
2.098, 43.12, 3
1.971, 46.05, 33
1.940, 46.82, 16
1.394, 67.16, 10
1.383, 67.77, 20
1.187, 81.01, 24
1.173, 82.14, 12
1.132, 85.85, 11

Cell and atoms:
Cell: 5.575 5.575 3.881 Å, 90.00 90.00 90.00°
Fractional coordinates of all 8 atoms:
V 0.000 0.000 0.000
Pd 0.000 0.500 0.000
Pd 0.243 0.243 0.500
Pd 0.243 0.757 0.500
Pd 0.500 0.000 0.000
Pd 0.757 0.243 0.500
Pd 0.757 0.757 0.500
Pt 0.500 0.500 0.000

=====

No. 11
Starting from DFT lattice parameters and positions (GGA-PBE), the X-ray powder pattern of NdMg2Al2Ga was simulated for Cu Ka.

Largest 12 diffraction maxima, in order of rising 2θ, 10 to 90 degrees two-theta:
d_spacing, two_theta, intensity
5.528, 16.03, 25
4.811, 18.44, 21
3.778, 23.55, 83
3.119, 28.62, 100
3.034, 29.44, 20
2.764, 32.39, 35
2.672, 33.54, 72
2.231, 40.43, 34
1.921, 47.32, 48
1.889, 48.17, 25
1.616, 56.99, 28
1.560, 59.24, 24

Cell and atoms:
Cell: 6.696 6.696 6.696 Å, 132.97 132.97 68.70°
Fractional coordinates of all 6 atoms:
Nd 0.000 0.000 0.000
Mg 0.250 0.750 0.500
Mg 0.750 0.250 0.500
Al 0.283 0.283 0.000
Al 0.717 0.717 0.000
Ga 0.500 0.500 0.000

=====

No. 12
Starting from DFT lattice parameters and positions (GGA-PBE), the X-ray powder pattern of AcMg3Cu3 was simulated for Cu Ka.

Largest 12 diffraction maxima, in order of rising 2θ, 10 to 90 degrees two-theta:
d_spacing, two_theta, intensity
7.746, 11.42, 100
4.472, 19.85, 21
3.778, 23.55, 40
2.928, 30.53, 27
2.886, 30.99, 54
2.582, 34.74, 24
2.425, 37.07, 92
2.236, 40.34, 16
2.164, 41.75, 19
1.924, 47.24, 25
1.690, 54.27, 14
1.658, 55.40, 13

Cell and atoms:
Cell: 8.944 8.944 4.327 Å, 90.00 90.00 120.00°
Fractional coordinates of all 14 atoms:
Ac 0.333 0.667 0.250
Ac 0.667 0.333 0.750
Mg 0.049 0.278 0.750
Mg 0.228 0.951 0.750
Mg 0.278 0.228 0.250
Mg 0.722 0.772 0.750
Mg 0.772 0.049 0.250
Mg 0.951 0.722 0.250
Cu 0.046 0.595 0.750
Cu 0.405 0.452 0.750
Cu 0.452 0.046 0.250
Cu 0.548 0.954 0.750
Cu 0.595 0.548 0.250
Cu 0.954 0.405 0.250